Structure and simulated PXRD pattern of NpF4 (the GGA-PBE geometry in Alexandria; CuKα).
Lines closer than 0.1° are merged.

Main lines, by intensity (10° ≤ 2θ ≤ 90°):
18.90°, I = 100; 25.17°, I = 53; 33.71°, I = 39; 40.86°, I = 23; 31.73°, I = 21; 31.59°, I = 19; 50.13°, I = 18; 49.98°, I = 17; 45.19°, I = 16; 48.44°, I = 11

Cell and atoms:
a = 6.277 Å, b = 9.974 Å, c = 10.045 Å
α = 90.00°, β = 90.00°, γ = 90.00°
Space group Fddd (No. 70, origin choice 2)
Inequivalent atoms, fractional coordinates:
Np (0.125, 0.125, 0.125) x8
F (0.067, 0.274, 0.966) x32



Structure and simulated PXRD pattern of Ba2AlCrS6 (the GGA-PBE geometry in Alexandria; CuKα).
Lines closer than 0.1° are merged.

Main lines, by intensity (10° ≤ 2θ ≤ 90°):
26.22°, I = 100; 35.78°, I = 100; 33.23°, I = 80; 23.91°, I = 74; 53.96°, I = 48; 31.93°, I = 38; 40.74°, I = 30; 64.09°, I = 28; 56.01°, I = 28; 20.05°, I = 27

Cell and atoms:
a = 6.7966 Å, b = 6.7966 Å, c = 33.6340 Å
α = 90.00°, β = 90.00°, γ = 120.00°
Space group R-3m (No. 166, hexagonal axes)
Inequivalent atoms, fractional coordinates:
Ba (0.0000, 0.0000, 0.1251) x6
Ba (0.0000, 0.0000, 0.2885) x6
Al (0.0000, 0.0000, 0.0000) x3
Al (0.0000, 0.0000, 0.5000) x3
Cr (0.0000, 0.0000, 0.4095) x6
S (0.0034, 0.5017, 0.7070) x18
S (0.0155, 0.5078, 0.1221) x18